The following is a theoretical powder diffraction line list of CoPH3CO4. It was derived from the GGA+U geometry in the Materials Project, using Cu Kα, 1.54184 Å.
Kinematic intensities with the Lorentz-polarization factor, no thermal factor.

Structure:
```
40
Lattice="17.4251 0.0000 0.0000 0.0000 4.8124 0.0000 0.0000 0.0000 5.7065" Properties=species:S:1:pos:R:3 pbc="T T T"
Co 4.0730 0.6649 0.0000
Co 4.6395 3.0711 2.8533
Co 12.7855 1.7413 0.0000
Co 13.3521 4.1475 2.8533
P 2.7601 0.9603 2.8572
P 5.9524 3.3665 0.0039
P 11.4727 1.4459 2.8572
P 14.6649 3.8521 0.0039
H 0.5113 0.9938 3.7137
H 0.5551 0.9511 1.9273
H 0.9190 2.4721 2.7917
H 7.7935 0.0659 5.6450
H 8.1575 3.3573 4.7805
H 8.2012 3.4000 0.8604
H 9.2239 1.4124 3.7137
H 9.2676 1.4551 1.9273
H 9.6315 4.7465 2.7917
H 16.5061 2.3403 5.6450
H 16.8700 3.8613 4.7805
H 16.9137 3.8186 0.8604
C 1.0163 1.3832 2.8235
C 7.6962 3.7894 5.6767
C 9.7289 1.0230 2.8235
C 16.4087 3.4291 5.6767
O 2.7077 4.4082 5.6936
O 2.9464 4.2688 2.8696
O 3.4495 1.6884 4.0746
O 3.4628 1.6754 1.6398
O 5.2497 4.0815 4.4931
O 5.2630 4.0946 1.2214
O 5.7661 1.8626 0.0164
O 6.0049 2.0020 2.8403
O 11.4202 2.8104 5.6936
O 11.6589 2.9498 2.8696
O 12.1620 0.7178 4.0746
O 12.1753 0.7308 1.6398
O 13.9623 3.1370 4.4931
O 13.9756 3.1240 1.2214
O 14.4787 0.5436 0.0164
O 14.7174 0.4042 2.8403
```

The 10 most intense peaks (2θ from 5° to 70°), by angle:
2θ/deg  I_rel  h k l
10.15  100  2 0 0
18.59  5  2 0 1
21.09  7  2 1 0
24.73  7  1 1 1
26.30  7  2 1 1
28.72  4  3 1 1
31.35  7  0 0 2
31.84  9  4 1 1
39.53  5  6 1 1
39.88  5  3 1 2